[1]
The following is a computed X-ray diffraction stick pattern of Li3MnF6. It was derived from DFT lattice parameters and positions (GGA+U), using a wavelength of 1.5418 Å.
Kinematic intensities with the Lorentz-polarization factor, no thermal factor.

```
30
Lattice="4.8604 0.0000 0.0000 -0.0478 8.4735 0.0000 -0.0608 -4.2108 7.6854" Properties=species:S:1:pos:R:3 pbc="T T T"
Li 0.0000 0.0000 0.0000
Li -0.0542 0.1436 4.9938
Li -0.0302 -2.6543 5.0431
Li -0.0022 4.4029 2.7505
Li 0.0292 5.9779 0.0802
Li 2.3503 -0.0654 5.4248
Li 2.4453 0.3194 0.0288
Li 2.4439 4.1425 2.2758
Li 4.8051 1.5875 2.7652
Mn 0.0018 2.9681 0.0410
Mn 2.3283 2.9834 5.1578
Mn 2.4766 -1.2735 2.6028
F 0.9454 0.1351 6.8805
F 0.9750 -2.6398 6.9537
F 1.0339 2.9856 1.8476
F 1.1390 3.1033 6.9255
F 1.2030 1.5721 4.4618
F 1.2308 -1.1991 4.3492
F 1.2191 4.3005 4.3310
F 1.3249 5.7757 1.8796
F 1.4045 0.0515 1.7662
F 3.4151 1.5989 5.8813
F 3.4154 4.3398 6.0153
F 3.5730 0.0811 3.4622
F 3.5496 5.8256 3.3036
F 3.5692 3.0777 3.4142
F 3.6309 7.3069 0.8555
F 3.7578 -1.2173 5.9270
F 3.8481 1.5670 0.8218
F 3.8406 4.3490 0.8759
```

Most intense lines, 10° ≤ 2θ ≤ 80°, by angle:
2θ 20.3, 4.384 Å, I 100; 2θ 21.0, 4.237 Å, I 55; 2θ 21.7, 4.087 Å, I 73; 2θ 21.9, 4.059 Å, I 92; 2θ 39.6, 2.277 Å, I 48; 2θ 41.0, 2.200 Å, I 86



[2]
The following is a computed X-ray diffraction stick pattern of Li10Mn3F16. It was derived from DFT lattice parameters and positions (GGA+U), using a wavelength of 1.5418 Å.
Kinematic intensities with the Lorentz-polarization factor, no thermal factor.

```
29
Lattice="3.0388 1.7545 9.6438 -3.0388 1.7545 9.6438 0.0000 -3.5089 9.6438" Properties=species:S:1:pos:R:3 pbc="T T T"
Li 0.0000 0.0000 0.0000
Li -3.0388 0.0000 14.4657
Li -1.5194 0.8772 4.8219
Li -1.5468 -0.8931 16.9039
Li 0.0000 -1.7861 12.0276
Li -1.5468 0.8931 12.0276
Li 1.5194 0.8772 4.8219
Li 1.5468 -0.8931 16.9039
Li 0.0000 1.7861 16.9039
Li 1.5468 0.8931 12.0276
Mn 0.0000 0.0000 8.9191
Mn 0.0000 0.0000 14.4657
Mn 0.0000 0.0000 20.0124
F 0.0000 -1.9345 8.3730
F -1.6754 0.9673 8.3730
F 0.0000 0.0000 3.6923
F -1.4973 -0.8645 13.2744
F -1.6754 -0.9673 20.5585
F 0.0000 -1.7290 15.6571
F -1.4973 0.8645 15.6571
F 0.0000 0.0000 10.9826
F 0.0000 0.0000 17.9489
F 1.4973 -0.8645 13.2744
F 0.0000 1.7290 13.2744
F 1.6754 0.9673 8.3730
F 1.4973 0.8645 15.6570
F 0.0000 0.0000 25.2391
F 1.6754 -0.9673 20.5585
F 0.0000 1.9345 20.5585
```

Most intense lines, 10° ≤ 2θ ≤ 80°, by angle:
2θ 17.1, 5.178 Å, I 56; 2θ 22.8, 3.894 Å, I 100; 2θ 29.4, 3.039 Å, I 69; 2θ 42.5, 2.128 Å, I 80; 2θ 61.0, 1.519 Å, I 66; 2θ 62.3, 1.490 Å, I 59



- Number 2 is which compound?
  Li10Mn3F16